No. 1
Calculated X-ray powder pattern
Compound: K9In9GeSb22
Radiation: λ = 1.5418 Å (Cu Kα)
Structure: a structure optimized by DFT (GGA-PBE)
Kinematic intensities with the Lorentz-polarization factor, no thermal factor.

Top 10 peaks for 2θ = 15–90°, sorted by position:
two_theta	I/Imax
25.1	35
25.5	91
25.9	100
26.0	54
26.1	50
26.7	29
29.0	29
35.4	31
39.5	25
39.7	41

Structural model:
Unit cell a=11.547 b=11.865 c=13.634 alpha=113.26 beta=114.16 gamma=90.81
Positions (direct):
1 K 0.000 0.000 0.000
2 K 0.003 0.976 0.349
3 K 0.008 0.961 0.669
4 K 0.252 0.333 0.550
5 K 0.256 0.317 0.871
6 K 0.259 0.294 0.221
7 K 0.582 0.642 0.253
8 K 0.629 0.646 0.609
9 K 0.677 0.652 0.968
10 In 0.369 0.889 0.443
11 In 0.374 0.932 0.783
12 In 0.380 0.893 0.082
13 In 0.555 0.215 0.774
14 In 0.704 0.076 0.447
15 In 0.718 0.070 0.113
16 In 0.880 0.401 0.140
17 In 0.886 0.361 0.437
18 In 0.890 0.404 0.778
19 Ge 0.547 0.220 0.108
20 Sb 0.005 0.343 0.982
21 Sb 0.006 0.663 0.847
22 Sb 0.048 0.729 0.087
23 Sb 0.211 0.564 0.133
24 Sb 0.253 0.630 0.373
25 Sb 0.253 0.951 0.238
26 Sb 0.262 0.639 0.882
27 Sb 0.265 0.665 0.680
28 Sb 0.302 0.054 0.626
29 Sb 0.307 0.071 0.976
30 Sb 0.513 0.231 0.434
31 Sb 0.600 0.375 0.020
32 Sb 0.611 0.377 0.343
33 Sb 0.613 0.390 0.687
34 Sb 0.644 0.908 0.863
35 Sb 0.647 0.904 0.533
36 Sb 0.655 0.908 0.205
37 Sb 0.746 0.061 0.784
38 Sb 0.956 0.239 0.594
39 Sb 0.967 0.234 0.253
40 Sb 0.992 0.630 0.540
41 Sb 0.997 0.656 0.339

***

No. 2
Calculated X-ray powder pattern
Compound: AuO2F
Radiation: λ = 1.5418 Å (Cu Kα)
Structure: a structure optimized by DFT (GGA-PBE)
Kinematic intensities with the Lorentz-polarization factor, no thermal factor.

Top 10 peaks for 2θ = 15–90°, sorted by position:
two_theta	I/Imax
20.8	48
25.7	17
26.3	100
33.3	25
40.0	36
45.7	20
49.5	12
50.2	11
54.2	14
59.6	11

Structural model:
Unit cell a=5.502 b=5.502 c=4.349 alpha=90.00 beta=90.00 gamma=101.93
Positions (direct):
1 Au 0.224 0.224 0.000
2 Au 0.776 0.776 0.500
3 O 0.285 0.529 0.283
4 O 0.471 0.715 0.217
5 O 0.529 0.285 0.717
6 O 0.715 0.471 0.783
7 F 0.115 0.885 0.750
8 F 0.885 0.115 0.250

***

No. 3
Calculated X-ray powder pattern
Compound: CuC2O8
Radiation: λ = 1.5418 Å (Cu Kα)
Structure: a structure optimized by DFT (GGA-PBE)
Kinematic intensities with the Lorentz-polarization factor, no thermal factor.

Top 10 peaks for 2θ = 15–90°, sorted by position:
two_theta	I/Imax
18.8	100
19.0	29
26.0	50
26.8	91
29.9	26
30.2	43
33.5	57
38.6	24
43.2	31
46.0	29

Structural model:
Unit cell a=4.413 b=9.463 c=9.505 alpha=90.00 beta=100.67 gamma=90.00
Positions (direct):
1 Cu 0.000 0.000 0.000
2 Cu 0.000 0.500 0.500
3 C 0.159 0.150 0.697
4 C 0.159 0.350 0.197
5 C 0.841 0.650 0.803
6 C 0.841 0.850 0.303
7 O 0.085 0.033 0.713
8 O 0.085 0.467 0.213
9 O 0.230 0.232 0.181
10 O 0.230 0.268 0.681
11 O 0.407 0.548 0.528
12 O 0.407 0.952 0.028
13 O 0.472 0.563 0.986
14 O 0.472 0.937 0.486
15 O 0.528 0.063 0.514
16 O 0.528 0.437 0.014
17 O 0.593 0.048 0.972
18 O 0.593 0.452 0.472
19 O 0.770 0.732 0.319
20 O 0.770 0.768 0.819
21 O 0.915 0.533 0.787
22 O 0.915 0.967 0.287

***

No. 4
Calculated X-ray powder pattern
Compound: PdPb2F6
Radiation: λ = 1.5418 Å (Cu Kα)
Structure: a structure optimized by DFT (GGA-PBE)
Kinematic intensities with the Lorentz-polarization factor, no thermal factor.

Top 10 peaks for 2θ = 15–90°, sorted by position:
two_theta	I/Imax
26.2	100
29.8	26
31.5	10
42.6	17
43.9	34
50.7	34
53.0	14
54.0	11
70.3	12
78.9	10

Structural model:
Unit cell a=9.024 b=9.024 c=5.999 alpha=90.00 beta=90.00 gamma=38.86
Positions (direct):
1 Pd 0.000 0.000 0.000
2 Pd 0.500 0.500 0.500
3 Pb 0.162 0.162 0.500
4 Pb 0.338 0.338 0.000
5 Pb 0.662 0.662 0.000
6 Pb 0.838 0.838 0.500
7 F 0.007 0.493 0.750
8 F 0.081 0.750 0.834
9 F 0.250 0.581 0.334
10 F 0.250 0.919 0.834
11 F 0.419 0.750 0.334
12 F 0.493 0.007 0.250
13 F 0.507 0.993 0.750
14 F 0.581 0.250 0.666
15 F 0.750 0.081 0.166
16 F 0.750 0.419 0.666
17 F 0.919 0.250 0.166
18 F 0.993 0.507 0.250

***

No. 5
Calculated X-ray powder pattern
Compound: Be2BH3O5
Radiation: λ = 1.5418 Å (Cu Kα)
Structure: a structure optimized by DFT (GGA-PBE)
Kinematic intensities with the Lorentz-polarization factor, no thermal factor.

Top 10 peaks for 2θ = 15–90°, sorted by position:
two_theta	I/Imax
16.4	100
24.4	19
24.6	25
28.4	38
28.5	16
33.1	65
34.0	23
41.4	35
41.6	18
48.0	25

Structural model:
Unit cell a=4.435 b=10.841 c=4.456 alpha=90.00 beta=119.78 gamma=90.00
Positions (direct):
1 Be 0.013 0.000 0.009
2 Be 0.350 0.897 0.685
3 Be 0.650 0.397 0.315
4 Be 0.987 0.500 0.991
5 B 0.321 0.451 0.655
6 B 0.679 0.951 0.345
7 H 0.125 0.695 0.911
8 H 0.241 0.710 0.499
9 H 0.263 0.196 0.107
10 H 0.737 0.696 0.893
11 H 0.759 0.210 0.501
12 H 0.875 0.195 0.089
13 O 0.013 0.450 0.348
14 O 0.015 0.155 0.994
15 O 0.322 0.456 0.966
16 O 0.367 0.948 0.343
17 O 0.371 0.748 0.728
18 O 0.629 0.248 0.272
19 O 0.633 0.448 0.657
20 O 0.678 0.956 0.034
21 O 0.985 0.655 0.006
22 O 0.987 0.950 0.652

***

No. 6
Calculated X-ray powder pattern
Compound: KPrNb4O12
Radiation: λ = 1.5418 Å (Cu Kα)
Structure: a structure optimized by DFT (GGA-PBE)
Kinematic intensities with the Lorentz-polarization factor, no thermal factor.

Top 10 peaks for 2θ = 15–90°, sorted by position:
two_theta	I/Imax
19.2	94
21.9	38
31.4	97
31.6	100
31.9	97
44.6	40
45.5	37
55.8	41
56.4	41
56.6	40

Structural model:
Unit cell a=7.977 b=5.673 c=5.673 alpha=88.47 beta=90.00 gamma=90.00
Positions (direct):
1 K 0.000 0.000 0.000
2 Pr 0.500 0.510 0.510
3 Nb 0.248 0.014 0.509
4 Nb 0.248 0.509 0.014
5 Nb 0.752 0.014 0.509
6 Nb 0.752 0.509 0.014
7 O 0.000 0.517 0.979
8 O 0.000 0.979 0.517
9 O 0.235 0.225 0.225
10 O 0.266 0.271 0.718
11 O 0.266 0.718 0.271
12 O 0.290 0.748 0.748
13 O 0.500 0.033 0.466
14 O 0.500 0.466 0.033
15 O 0.710 0.748 0.748
16 O 0.734 0.271 0.718
17 O 0.734 0.718 0.271
18 O 0.765 0.225 0.225